[1]
Simulated powder diffraction line list
Compound: Rb3FeS3
Radiation: CuKα
Structure: a DFT-relaxed cell (GGA-PBE, OQMD)
Intensities are scaled so that the largest is 100.

The 6 most intense peaks (10° ≤ 2θ ≤ 90°), by angle:
| hkl | two_theta | d_spacing | Rel. int. |
| --- | --- | --- | --- |
| 0 1 2 | 22.7 | 3.920 | 41 |
| 0 4 0 | 27.3 | 3.261 | 39 |
| 2 1 0 | 29.0 | 3.082 | 86 |
| 1 4 -1 | 29.7 | 3.006 | 93 |
| 1 2 -3 | 29.9 | 2.992 | 36 |
| 1 3 1 | 30.5 | 2.935 | 100 |

Structural model:
abc: 7.997 13.022 10.366
angles: 90.00 127.52 90.00
Space group P2_1/c (No. 14)
Asymmetric unit:
1 Rb 0.111 0.135 0.482 x4
2 Rb 0.144 0.074 0.892 x4
3 Rb 0.368 0.694 0.580 x4
4 Fe 0.440 0.053 0.353 x4
5 S 0.161 0.161 0.201 x4
6 S 0.364 0.608 0.884 x4
7 S 0.383 0.546 0.251 x4

=====

[2]
Simulated powder diffraction line list
Compound: CuNi2B2
Radiation: CuKα
Structure: a DFT-relaxed cell (GGA-PBE, OQMD)
Intensities are scaled so that the largest is 100.

The 6 most intense peaks (10° ≤ 2θ ≤ 90°), by angle:
| hkl | two_theta | d_spacing | Rel. int. |
| --- | --- | --- | --- |
| 1 0 1 | 28.4 | 3.141 | 25 |
| 1 0 3 | 43.0 | 2.102 | 15 |
| 1 1 2 | 43.8 | 2.068 | 100 |
| 0 0 4 | 45.4 | 2.000 | 19 |
| 2 0 0 | 53.7 | 1.708 | 29 |
| 2 0 4 | 72.8 | 1.299 | 17 |

Structural model:
abc: 3.416 3.416 7.999
angles: 90.00 90.00 90.00
Space group I4/mmm (No. 139)
Asymmetric unit:
1 Cu 0.000 0.000 0.000 x2
2 Ni 0.000 0.500 0.250 x4
3 B 0.000 0.000 0.394 x4

=====

[3]
Simulated powder diffraction line list
Compound: Dy3Ho2Tm3
Radiation: CuKα
Structure: a DFT-relaxed cell (GGA-PBE, OQMD)
Intensities are scaled so that the largest is 100.

The 6 most intense peaks (10° ≤ 2θ ≤ 90°), by angle:
| hkl | two_theta | d_spacing | Rel. int. |
| --- | --- | --- | --- |
| 2 0 0 | 28.8 | 3.101 | 24 |
| 0 0 2 | 32.2 | 2.782 | 24 |
| 2 0 1 | 33.1 | 2.709 | 100 |
| 2 2 0 | 51.0 | 1.791 | 20 |
| 2 0 3 | 57.9 | 1.592 | 20 |
| 2 2 2 | 61.6 | 1.506 | 23 |

Structural model:
abc: 7.1624 7.1624 5.5632
angles: 90.00 90.00 120.00
Space group P-6m2 (No. 187)
Asymmetric unit:
1 Dy 0.0000 0.5000 0.0000 x3
2 Ho 0.0000 0.0000 0.0000 x1
3 Ho 0.3333 0.6667 0.5000 x1
4 Tm 0.3338 0.1669 0.5000 x3

=====

[4]
Simulated powder diffraction line list
Compound: Al14Co
Radiation: CuKα
Structure: a DFT-relaxed cell (GGA-PBE, OQMD)
Intensities are scaled so that the largest is 100.

The 6 most intense peaks (10° ≤ 2θ ≤ 90°), by angle:
| hkl | two_theta | d_spacing | Rel. int. |
| --- | --- | --- | --- |
| 4 1 0 | 38.4 | 2.347 | 65 |
| 3 3 0 | 39.5 | 2.281 | 37 |
| 2 0 2 | 39.9 | 2.259 | 37 |
| 2 1 2 | 41.0 | 2.200 | 58 |
| 4 1 1 | 42.4 | 2.133 | 100 |
| 3 3 1 | 43.5 | 2.083 | 44 |

Structural model:
abc: 9.676 9.676 5.110
angles: 90.00 90.00 90.00
Space group P4_2/mnm (No. 136)
Asymmetric unit:
1 Al 0.046 0.368 0.000 x8
2 Al 0.067 0.257 0.500 x8
3 Al 0.096 0.096 0.000 x4
4 Al 0.173 0.827 0.249 x8
5 Co 0.000 0.000 0.500 x2

=====

[5]
Simulated powder diffraction line list
Compound: Sc4Ta2Ga3N3
Radiation: CuKα
Structure: a DFT-relaxed cell (GGA-PBE, OQMD)
Intensities are scaled so that the largest is 100.

The 6 most intense peaks (10° ≤ 2θ ≤ 90°), by angle:
| hkl | two_theta | d_spacing | Rel. int. |
| --- | --- | --- | --- |
| 1 1 0 | 18.6 | 4.775 | 28 |
| 2 0 0 | 19.0 | 4.671 | 18 |
| 3 1 -1 | 32.3 | 2.773 | 21 |
| 0 2 3 | 38.1 | 2.365 | 100 |
| 0 0 6 | 39.8 | 2.263 | 18 |
| 3 1 -10 | 71.2 | 1.325 | 23 |

Structural model:
abc: 9.590 5.557 13.948
angles: 90.00 103.26 90.00
Space group C2/c (No. 15)
Asymmetric unit:
1 Sc 0.114 0.078 0.092 x8
2 Sc 0.217 0.087 0.407 x8
3 Ta 0.059 0.415 0.921 x8
4 Ga 0.000 0.124 0.750 x4
5 Ga 0.146 0.437 0.249 x8
6 N 0.083 0.249 0.500 x8
7 N 0.250 0.250 0.000 x4

=====

[6]
Simulated powder diffraction line list
Compound: Tb3In3Cu2Au
Radiation: CuKα
Structure: a DFT-relaxed cell (GGA-PBE, OQMD)
Intensities are scaled so that the largest is 100.

The 6 most intense peaks (10° ≤ 2θ ≤ 90°), by angle:
| hkl | two_theta | d_spacing | Rel. int. |
| --- | --- | --- | --- |
| 1 1 1 | 32.5 | 2.755 | 94 |
| 2 0 1 | 35.3 | 2.540 | 100 |
| 2 1 0 | 36.2 | 2.482 | 36 |
| 3 0 0 | 41.2 | 2.189 | 41 |
| 2 1 1 | 42.8 | 2.111 | 26 |
| 3 2 1 | 66.3 | 1.410 | 35 |

Structural model:
abc: 7.5834 7.5834 4.0093
angles: 90.00 90.00 120.00
Space group P-62m (No. 189)
Asymmetric unit:
1 Tb 0.0000 0.5921 0.0000 x3
2 In 0.0000 0.2682 0.5000 x3
3 Cu 0.3333 0.6667 0.5000 x2
4 Au 0.0000 0.0000 0.0000 x1

=====

[7]
Simulated powder diffraction line list
Compound: Pm5Sn2Te2
Radiation: CuKα
Structure: a DFT-relaxed cell (GGA-PBE, OQMD)
Intensities are scaled so that the largest is 100.

The 6 most intense peaks (10° ≤ 2θ ≤ 90°), by angle:
| hkl | two_theta | d_spacing | Rel. int. |
| --- | --- | --- | --- |
| 3 1 2 | 29.4 | 3.040 | 100 |
| 0 2 2 | 30.5 | 2.935 | 45 |
| 4 2 0 | 31.3 | 2.859 | 35 |
| 4 2 1 | 33.1 | 2.704 | 87 |
| 1 1 3 | 34.5 | 2.596 | 64 |
| 1 3 1 | 34.7 | 2.582 | 65 |

Structural model:
abc: 15.829 8.272 8.329
angles: 90.00 90.00 90.00
Space group Cmce (No. 64)
Asymmetric unit:
1 Pm 0.000 0.000 0.000 x4
2 Pm 0.135 0.168 0.335 x16
3 Sn 0.000 0.133 0.632 x8
4 Te 0.202 0.000 0.000 x8

=====

[8]
Simulated powder diffraction line list
Compound: Li2Cd2Ga2IrPt
Radiation: CuKα
Structure: a DFT-relaxed cell (GGA-PBE, OQMD)
Intensities are scaled so that the largest is 100.

The 6 most intense peaks (10° ≤ 2θ ≤ 90°), by angle:
| hkl | two_theta | d_spacing | Rel. int. |
| --- | --- | --- | --- |
| 1 0 1 | 24.4 | 3.652 | 60 |
| 2 0 0 | 40.3 | 2.236 | 100 |
| 1 0 3 | 47.7 | 1.907 | 31 |
| 2 2 0 | 58.4 | 1.580 | 11 |
| 2 1 3 | 64.2 | 1.451 | 13 |
| 3 1 2 | 73.4 | 1.291 | 22 |

Structural model:
abc: 4.469 4.469 6.335
angles: 90.00 90.00 90.00
Space group P-4m2 (No. 115)
Asymmetric unit:
1 Li 0.000 0.000 0.000 x1
2 Li 0.500 0.500 0.500 x1
3 Cd 0.000 0.500 0.250 x2
4 Ga 0.000 0.500 0.739 x2
5 Ir 0.000 0.000 0.500 x1
6 Pt 0.500 0.500 0.000 x1

=====

[9]
Simulated powder diffraction line list
Compound: K3FeCl5
Radiation: CuKα
Structure: a DFT-relaxed cell (GGA-PBE, OQMD)
Intensities are scaled so that the largest is 100.

The 6 most intense peaks (10° ≤ 2θ ≤ 90°), by angle:
| hkl | two_theta | d_spacing | Rel. int. |
| --- | --- | --- | --- |
| 2 0 2 | 24.6 | 3.626 | 23 |
| 2 2 0 | 29.9 | 2.984 | 25 |
| 2 1 3 | 30.3 | 2.949 | 100 |
| 2 0 4 | 33.0 | 2.713 | 25 |
| 3 1 0 | 33.6 | 2.669 | 26 |
| 0 0 8 | 51.7 | 1.769 | 23 |

Structural model:
abc: 8.440 8.440 14.171
angles: 90.00 90.00 90.00
Space group I4/mcm (No. 140)
Asymmetric unit:
1 K 0.000 0.000 0.250 x4
2 K 0.162 0.338 0.000 x8
3 Fe 0.000 0.500 0.250 x4
4 Cl 0.000 0.000 0.000 x4
5 Cl 0.149 0.351 0.350 x16

=====

[10]
Simulated powder diffraction line list
Compound: Y4AlFe4
Radiation: CuKα
Structure: a DFT-relaxed cell (GGA-PBE, OQMD)
Intensities are scaled so that the largest is 100.

The 6 most intense peaks (10° ≤ 2θ ≤ 90°), by angle:
| hkl | two_theta | d_spacing | Rel. int. |
| --- | --- | --- | --- |
| 1 1 -2 | 29.5 | 3.025 | 48 |
| 1 1 2 | 33.9 | 2.643 | 82 |
| 3 1 -1 | 34.1 | 2.632 | 100 |
| 3 1 1 | 39.8 | 2.264 | 46 |
| 3 1 -3 | 41.4 | 2.181 | 40 |
| 0 2 0 | 43.2 | 2.095 | 55 |

Structural model:
abc: 10.161 4.190 8.790
angles: 90.00 109.59 90.00
Space group C2/m (No. 12)
Asymmetric unit:
1 Y 0.112 0.000 0.388 x4
2 Y 0.243 0.000 0.838 x4
3 Al 0.000 0.000 0.000 x2
4 Fe 0.035 0.500 0.853 x4
5 Fe 0.082 0.500 0.619 x4

=====

[11]
Simulated powder diffraction line list
Compound: LaNbSn2Pt2
Radiation: CuKα
Structure: a DFT-relaxed cell (GGA-PBE, OQMD)
Intensities are scaled so that the largest is 100.

The 6 most intense peaks (10° ≤ 2θ ≤ 90°), by angle:
| hkl | two_theta | d_spacing | Rel. int. |
| --- | --- | --- | --- |
| 0 2 1 | 23.3 | 3.812 | 37 |
| 1 0 1 | 23.6 | 3.771 | 37 |
| 0 4 0 | 38.6 | 2.332 | 22 |
| 1 2 2 | 38.7 | 2.326 | 100 |
| 2 0 0 | 39.3 | 2.295 | 26 |
| 3 2 2 | 70.8 | 1.331 | 17 |

Structural model:
abc: 4.589 9.329 6.615
angles: 90.00 90.00 90.00
Space group Pmn2_1 (No. 31)
Asymmetric unit:
1 La 0.000 0.121 0.000 x2
2 Nb 0.000 0.619 0.999 x2
3 Sn 0.000 0.142 0.492 x2
4 Sn 0.000 0.618 0.518 x2
5 Pt 0.000 0.394 0.263 x2
6 Pt 0.000 0.842 0.227 x2

=====

[12]
Simulated powder diffraction line list
Compound: CoPSe
Radiation: CuKα
Structure: a DFT-relaxed cell (GGA-PBE, OQMD)
Intensities are scaled so that the largest is 100.

The 6 most intense peaks (10° ≤ 2θ ≤ 90°), by angle:
| hkl | two_theta | d_spacing | Rel. int. |
| --- | --- | --- | --- |
| 0 0 4 | 32.0 | 2.797 | 78 |
| 0 2 1 | 32.6 | 2.746 | 80 |
| 1 0 4 | 35.9 | 2.503 | 59 |
| 2 1 1 | 36.8 | 2.445 | 100 |
| 1 1 5 | 46.5 | 1.952 | 40 |
| 3 1 2 | 54.3 | 1.688 | 75 |

Structural model:
abc: 5.587 5.664 11.198
angles: 90.00 90.00 90.00
Space group Pbca (No. 61)
Asymmetric unit:
1 Co 0.014 0.179 0.120 x8
2 P 0.128 0.680 0.564 x8
3 Se 0.119 0.069 0.323 x8